(1)
Theoretical X-ray powder pattern of BaZn2BO4 for Cu Kα (λ = 1.5418 Å), from a cell relaxed with GGA-PBE.

The 6 most intense peaks (2θ = 10–90°), in order of rising 2θ:
4.258 Å, intensity 41, (1 0 1); 2.717 Å, intensity 46, (2 0 0); 2.558 Å, intensity 100, (1 1 2); 2.291 Å, intensity 34, (2 1 1); 1.921 Å, intensity 22, (2 2 0); 1.536 Å, intensity 39, (3 1 2)

Atomic structure:
```
data_BaZn2BO4
_chemical_formula_sum 'Ba2 Zn4 B2 O8'
_symmetry_space_group_name_H-M 'I -4 2 m'
_symmetry_Int_Tables_number 121
_symmetry_space_group_name_Hall 'I -4 2'
_cell_length_a 5.4343
_cell_length_b 5.4343
_cell_length_c 6.8536
_cell_angle_alpha 90.00
_cell_angle_beta 90.00
_cell_angle_gamma 90.00
loop_
_atom_site_label
_atom_site_type_symbol
_atom_site_fract_x
_atom_site_fract_y
_atom_site_fract_z
_atom_site_occupancy
Ba1 Ba 0.0000 0.0000 0.0000 1
Zn1 Zn 0.0000 0.5000 0.2500 1
B1 B 0.0000 0.0000 0.5000 1
O1 O 0.1624 0.1624 0.6285 1
```


(2)
Theoretical X-ray powder pattern of BaBPPt6 for Cu Kα (λ = 1.5418 Å), from a cell relaxed with GGA-PBE.

The 6 most intense peaks (2θ = 10–90°), in order of rising 2θ:
2.825 Å, intensity 49, (0 0 4); 2.781 Å, intensity 100, (2 2 0); 2.583 Å, intensity 39, (1 2 3); 2.133 Å, intensity 32, (3 0 3); 1.992 Å, intensity 18, (0 4 0); 1.982 Å, intensity 59, (2 2 4)

Atomic structure:
```
data_BaBPPt6
_chemical_formula_sum 'Ba4 B4 P4 Pt24'
_symmetry_space_group_name_H-M 'I m m a'
_symmetry_Int_Tables_number 74
_symmetry_space_group_name_Hall '-I 2b 2'
_cell_length_a 7.7661
_cell_length_b 7.9694
_cell_length_c 11.3013
_cell_angle_alpha 90.00
_cell_angle_beta 90.00
_cell_angle_gamma 90.00
loop_
_atom_site_label
_atom_site_type_symbol
_atom_site_fract_x
_atom_site_fract_y
_atom_site_fract_z
_atom_site_occupancy
Ba1 Ba 0.0000 0.2500 0.1479 1
B1 B 0.0000 0.0000 0.5000 1
P1 P 0.2500 0.2500 0.7500 1
Pt1 Pt 0.0000 0.2500 0.4317 1
Pt2 Pt 0.0000 0.2500 0.8572 1
Pt3 Pt 0.2058 0.0350 0.6208 1
```


(3)
Theoretical X-ray powder pattern of BaB3Pt6 for Cu Kα (λ = 1.5418 Å), from a cell relaxed with GGA-PBE.

The 6 most intense peaks (2θ = 10–90°), in order of rising 2θ:
2.747 Å, intensity 100, (0 2 0); 2.725 Å, intensity 42, (0 0 2); 2.677 Å, intensity 74, (2 0 1); 2.644 Å, intensity 43, (2 1 1); 2.176 Å, intensity 25, (0 2 2); 1.866 Å, intensity 26, (2 0 3)

Atomic structure:
```
data_BaB3Pt6
_chemical_formula_sum 'Ba1 B3 Pt6'
_symmetry_space_group_name_H-M 'P 1'
_symmetry_Int_Tables_number 1
_cell_length_a 5.4882
_cell_length_b 5.7486
_cell_length_c 6.2040
_cell_angle_alpha 73.93
_cell_angle_beta 63.96
_cell_angle_gamma 77.83
loop_
_symmetry_equiv_pos_as_xyz
'x,y,z'
loop_
_atom_site_label
_atom_site_type_symbol
_atom_site_fract_x
_atom_site_fract_y
_atom_site_fract_z
_atom_site_occupancy
Ba1 Ba 0.0000 0.0000 0.0000 1
B1 B 0.0662 0.6971 0.5765 1
B2 B 0.3501 0.3215 0.1810 1
B3 B 0.6147 0.3205 0.6647 1
Pt1 Pt 0.2144 0.4902 0.8775 1
Pt2 Pt 0.3372 0.9843 0.4233 1
Pt3 Pt 0.4633 0.4946 0.3820 1
Pt4 Pt 0.6974 0.5155 0.8793 1
Pt5 Pt 0.7345 0.9819 0.5723 1
Pt6 Pt 0.9616 0.4902 0.3880 1
```


(4)
Theoretical X-ray powder pattern of BaB3Pt9 for Cu Kα (λ = 1.5418 Å), from a cell relaxed with GGA-PBE.

The 6 most intense peaks (2θ = 10–90°), in order of rising 2θ:
6.524 Å, intensity 27, (1 0 0); 2.659 Å, intensity 100, (0 2 1); 2.466 Å, intensity 35, (2 1 0); 2.173 Å, intensity 61, (3 0 0); 1.965 Å, intensity 26, (3 0 1); 1.255 Å, intensity 22, (0 5 1)

Atomic structure:
```
data_BaB3Pt9
_chemical_formula_sum 'Ba1 B3 Pt9'
_symmetry_space_group_name_H-M 'P 3 m 1'
_symmetry_Int_Tables_number 156
_cell_length_a 7.5329
_cell_length_b 7.5329
_cell_length_c 4.5892
_cell_angle_alpha 90.00
_cell_angle_beta 90.00
_cell_angle_gamma 120.00
loop_
_symmetry_equiv_pos_as_xyz
'x,y,z'
'-y,x-y,z'
'-x+y,-x,z'
'-y,-x,z'
'-x+y,y,z'
'x,x-y,z'
loop_
_atom_site_label
_atom_site_type_symbol
_atom_site_fract_x
_atom_site_fract_y
_atom_site_fract_z
_atom_site_occupancy
Ba1 Ba 0.0000 0.0000 0.0000 1
B1 B 0.0408 0.5204 0.6715 1
Pt1 Pt 0.2068 0.4135 0.4316 1
Pt2 Pt 0.4132 0.2066 0.5759 1
Pt3 Pt 0.5354 0.0708 0.0796 1
```


(5)
Theoretical X-ray powder pattern of BaB6Pt12 for Cu Kα (λ = 1.5418 Å), from a cell relaxed with GGA-PBE.

The 6 most intense peaks (2θ = 10–90°), in order of rising 2θ:
6.208 Å, intensity 25, (1 0 1); 3.104 Å, intensity 46, (2 0 2); 2.528 Å, intensity 100, (1 3 1); 2.438 Å, intensity 33, (1 1 3); 2.069 Å, intensity 78, (3 0 3); 1.845 Å, intensity 28, (3 3 0)

Atomic structure:
```
data_BaB6Pt12
_chemical_formula_sum 'Ba3 B18 Pt36'
_symmetry_space_group_name_H-M 'R -3 m'
_symmetry_Int_Tables_number 166
_symmetry_space_group_name_Hall '-R 3 2"'
_cell_length_a 11.0705
_cell_length_b 11.0705
_cell_length_c 8.1474
_cell_angle_alpha 90.00
_cell_angle_beta 90.00
_cell_angle_gamma 120.00
loop_
_atom_site_label
_atom_site_type_symbol
_atom_site_fract_x
_atom_site_fract_y
_atom_site_fract_z
_atom_site_occupancy
Ba1 Ba 0.0000 0.0000 0.0000 1
B1 B 0.0924 0.5462 0.3314 1
Pt1 Pt 0.0000 0.3759 0.5000 1
Pt2 Pt 0.0963 0.1925 0.3759 1
```


(6)
Theoretical X-ray powder pattern of Ba2SiBPt6 for Cu Kα (λ = 1.5418 Å), from a cell relaxed with GGA-PBE.

The 6 most intense peaks (2θ = 10–90°), in order of rising 2θ:
6.017 Å, intensity 21, (0 0 3); 2.984 Å, intensity 36, (0 1 5); 2.727 Å, intensity 19, (1 1 3); 2.542 Å, intensity 100, (2 0 2); 2.285 Å, intensity 55, (0 2 4); 1.530 Å, intensity 23, (2 2 0)

Atomic structure:
```
data_Ba2SiBPt6
_chemical_formula_sum 'Ba6 Si3 B3 Pt18'
_symmetry_space_group_name_H-M 'R -3 m'
_symmetry_Int_Tables_number 166
_symmetry_space_group_name_Hall '-R 3 2"'
_cell_length_a 6.1190
_cell_length_b 6.1190
_cell_length_c 18.0502
_cell_angle_alpha 90.00
_cell_angle_beta 90.00
_cell_angle_gamma 120.00
loop_
_atom_site_label
_atom_site_type_symbol
_atom_site_fract_x
_atom_site_fract_y
_atom_site_fract_z
_atom_site_occupancy
Ba1 Ba 0.0000 0.0000 0.2142 1
Si1 Si 0.0000 0.0000 0.5000 1
B1 B 0.0000 0.0000 0.0000 1
Pt1 Pt 0.0324 0.5162 0.2756 1
```


(7)
Theoretical X-ray powder pattern of Ba2SnBPt6 for Cu Kα (λ = 1.5418 Å), from a cell relaxed with GGA-PBE.

The 6 most intense peaks (2θ = 10–90°), in order of rising 2θ:
3.141 Å, intensity 31, (0 1 5); 2.756 Å, intensity 38, (1 1 3); 2.542 Å, intensity 100, (2 0 2); 2.469 Å, intensity 34, (1 0 7); 2.318 Å, intensity 76, (0 2 4); 1.520 Å, intensity 33, (2 2 0)

Atomic structure:
```
data_Ba2SnBPt6
_chemical_formula_sum 'Ba6 Sn3 B3 Pt18'
_symmetry_space_group_name_H-M 'R -3 m'
_symmetry_Int_Tables_number 166
_symmetry_space_group_name_Hall '-R 3 2"'
_cell_length_a 6.0804
_cell_length_b 6.0804
_cell_length_c 19.5651
_cell_angle_alpha 90.00
_cell_angle_beta 90.00
_cell_angle_gamma 120.00
loop_
_atom_site_label
_atom_site_type_symbol
_atom_site_fract_x
_atom_site_fract_y
_atom_site_fract_z
_atom_site_occupancy
Ba1 Ba 0.0000 0.0000 0.2168 1
Sn1 Sn 0.0000 0.0000 0.5000 1
B1 B 0.0000 0.0000 0.0000 1
Pt1 Pt 0.0237 0.5119 0.2785 1
```